Simulated powder diffraction line list of Ac2LaNdP4 for copper Kα, from a crystal structure in Alexandria, relaxed with PBE.

Cell and atoms:
Cell: 7.5068 4.3369 7.5154 Å, 90.00 109.41 90.00°
Space group P2/m (No. 10)
Inequivalent atoms, fractional coordinates:
1 Ac 0.0000 0.0000 0.0000
2 Ac 0.5000 0.5000 0.0000
3 La 0.0000 0.5000 0.5000
4 Nd 0.5000 0.0000 0.5000
5 P 0.2483 0.0000 0.7386
6 P 0.2559 0.5000 0.2624

Principal peaks in the range 10° ≤ 2θ ≤ 80°, in order of rising 2θ:
d (Å), I_rel
7.088, 7
3.541, 94
3.067, 100
2.169, 76
1.849, 49
1.771, 27
1.533, 13
1.407, 17
1.372, 35
1.252, 19



Simulated powder diffraction line list of Tl3SiF8 for copper Kα, from a crystal structure in Alexandria, relaxed with PBE.

Cell and atoms:
Cell: 6.1474 6.1489 7.4100 Å, 109.53 109.39 96.77°
Space group P1 (No. 1)
Inequivalent atoms, fractional coordinates:
1 Tl 0.0000 0.0000 0.0000
2 Tl 0.2067 0.7149 0.4815
3 Tl 0.7152 0.2059 0.4815
4 Si 0.4831 0.4833 0.9593
5 F 0.2262 0.5296 0.8433
6 F 0.2831 0.9332 0.2521
7 F 0.3707 0.3714 0.0997
8 F 0.5290 0.2259 0.8431
9 F 0.6014 0.6008 0.8214
10 F 0.6883 0.6894 0.1751
11 F 0.9311 0.2845 0.2504
12 F 0.9414 0.9410 0.6623

Principal peaks in the range 10° ≤ 2θ ≤ 80°, in order of rising 2θ:
d (Å), I_rel
5.602, 15
3.736, 100
3.532, 41
3.354, 35
3.205, 24
3.050, 44
2.258, 25
2.164, 25
1.938, 22
1.765, 15



Simulated powder diffraction line list of Ho4ZnPd2 for copper Kα, from a crystal structure in Alexandria, relaxed with PBE.

Cell and atoms:
Cell: 4.9194 4.9194 7.0100 Å, 90.00 90.00 90.00°
Space group P4/mmm (No. 123)
Inequivalent atoms, fractional coordinates:
1 Ho 0.0000 0.5000 0.2476
2 Zn 0.0000 0.0000 0.5000
3 Pd 0.0000 0.0000 0.0000
4 Pd 0.5000 0.5000 0.5000

Principal peaks in the range 10° ≤ 2θ ≤ 80°, in order of rising 2θ:
d (Å), I_rel
4.027, 9
3.505, 9
3.479, 18
2.469, 100
2.460, 49
1.752, 9
1.739, 17
1.427, 18
1.422, 35
1.234, 11



Simulated powder diffraction line list of AcThAu4 for copper Kα, from a crystal structure in Alexandria, relaxed with PBE.

Cell and atoms:
Cell: 3.6558 4.8153 8.3997 Å, 90.00 90.00 90.00°
Space group Pmmm (No. 47)
Inequivalent atoms, fractional coordinates:
1 Ac 0.0000 0.0000 0.0000
2 Th 0.0000 0.5000 0.5000
3 Au 0.5000 0.0000 0.3374
4 Au 0.5000 0.5000 0.1707

Principal peaks in the range 10° ≤ 2θ ≤ 80°, in order of rising 2θ:
d (Å), I_rel
2.753, 100
2.420, 51
2.408, 25
1.828, 11
1.821, 10
1.814, 20
1.459, 21
1.456, 21
1.452, 10
1.448, 10



Simulated powder diffraction line list of ThZrOs4 for copper Kα, from a crystal structure in Alexandria, relaxed with PBE.

Cell and atoms:
Cell: 7.5948 7.5948 7.5948 Å, 90.00 90.00 90.00°
Space group F-43m (No. 216)
Inequivalent atoms, fractional coordinates:
1 Th 0.0000 0.0000 0.0000
2 Zr 0.2500 0.2500 0.2500
3 Os 0.1245 0.1245 0.6245

Principal peaks in the range 10° ≤ 2θ ≤ 80°, in order of rising 2θ:
d (Å), I_rel
4.385, 14
3.797, 4
2.685, 21
2.290, 100
2.192, 46
1.899, 7
1.742, 4
1.550, 8
1.462, 33
1.343, 29



Simulated powder diffraction line list of DyTh2Pt2 for copper Kα, from a crystal structure in Alexandria, relaxed with PBE.

Cell and atoms:
Cell: 8.0661 8.0661 3.8870 Å, 90.00 90.00 90.00°
Space group P4/mbm (No. 127)
Inequivalent atoms, fractional coordinates:
1 Dy 0.0000 0.0000 0.0000
2 Th 0.1694 0.3306 0.5000
3 Pt 0.1318 0.6318 0.0000

Principal peaks in the range 10° ≤ 2θ ≤ 80°, in order of rising 2θ:
d (Å), I_rel
2.799, 21
2.644, 100
2.551, 41
1.944, 14
1.901, 7
1.747, 13
1.546, 18
1.466, 11
1.398, 19
1.219, 9